The following is a theoretical X-ray powder pattern of V2TcRuF. It was derived from the GGA+U geometry in Alexandria, using Cu Ka.
Lines closer than 0.1° are merged.

Structure:
```
data_V2TcRuF
_cell_length_a 4.6654
_cell_length_b 4.6654
_cell_length_c 3.8401
_cell_angle_alpha 90.00
_cell_angle_beta 90.00
_cell_angle_gamma 90.00
_space_group_name_H-M_alt 'P 1'
_space_group_IT_number 1
_space_group_name_Hall 'P 1'
loop_
_atom_site_label
_atom_site_type_symbol
_atom_site_fract_x
_atom_site_fract_y
_atom_site_fract_z
_atom_site_occupancy
V1 V 0.0000 0.5000 0.0000 1
V2 V 0.5000 0.0000 0.0000 1
Tc1 Tc 0.0000 0.0000 0.0000 1
Ru1 Ru 0.5000 0.5000 0.5000 1
F1 F 0.0000 0.0000 0.5000 1
```

Peak list (10 most intense, 2θ = 15–90°, sorted by position)
2θ/deg	intensity	h k l
27.0	30	1 1 0
30.1	100	1 0 1
35.9	28	1 1 1
38.6	78	2 0 0
47.3	21	0 0 2
49.7	49	2 1 1
55.7	25	2 2 0
62.7	35	2 0 2
76.1	19	2 2 2
77.9	13	3 2 1